For Nd2ZnCu5Ni2, DFT lattice parameters and positions (PBE) gives the simulated powder XRD pattern in this record (Cu Kα (λ = 1.5418 Å)).

Principal peaks in the range 2θ from 10° to 90°, sorted by position:
h k l  2theta  intensity
2 0 1  30.5  23
2 1 1  32.0  32
2 2 1  36.3  40
3 1 1  38.9  100
4 1 0  40.3  64
3 3 0  41.5  23
3 2 1  42.6  45
0 0 2  48.0  31
4 1 2  64.4  30
6 1 1  66.3  13

Cell and atoms:
```
data_Nd2ZnCu5Ni2
_space_group_name_H-M_alt 'P 4/m b m'
_space_group_IT_number 127
_space_group_name_Hall '-P 4 2ab'
_cell_length_a 9.2355
_cell_length_b 9.2355
_cell_length_c 3.7904
_cell_angle_alpha 90.00
_cell_angle_beta 90.00
_cell_angle_gamma 90.00
loop_
_atom_site_label
_atom_site_fract_x
_atom_site_fract_y
_atom_site_fract_z
Nd1 0.1836 0.3164 0.0000
Zn1 0.0000 0.0000 0.0000
Cu1 0.0000 0.5000 0.5000
Cu2 0.0537 0.7966 0.5000
Ni1 0.1141 0.6141 0.0000
```